[1]
Structure and theoretical PXRD pattern of Pm3Ho5 (the PBE geometry in Alexandria; Cu Kα).
Intensities are scaled so that the largest is 100.

Principal peaks in the range 2θ = 5–70°, in order of rising 2θ:
| h k l | d (Å) | Rel. int. |
| --- | --- | --- |
| 2 2 1 | 2.915 | 100 |
| 0 4 0 | 2.527 | 34 |
| 4 0 0 | 2.520 | 17 |
| 4 4 0 | 1.786 | 24 |
| 4 0 2 | 1.783 | 12 |
| 2 6 1 | 1.525 | 14 |
| 6 2 1 | 1.521 | 29 |
| 4 4 2 | 1.458 | 12 |

Cell and atoms:
Lattice parameters (Å, degrees): 10.0805 10.1204 5.0480 90.00 90.00 90.00
Space group Cmmm (No. 65)
Unique sites:
Pm: 0.0000 0.0000 0.0000
Pm: 0.0000 0.2516 0.5000
Ho: 0.0000 0.5000 0.0000
Ho: 0.2493 0.5000 0.5000
Ho: 0.2500 0.2500 0.0000



[2]
Structure and theoretical PXRD pattern of PmHo4 (the PBE geometry in Alexandria; Cu Kα).
Intensities are scaled so that the largest is 100.

Principal peaks in the range 2θ = 5–70°, in order of rising 2θ:
| h k l | d (Å) | Rel. int. |
| --- | --- | --- |
| 0 0 1 | 14.427 | 1 |
| 2 0 1 | 2.897 | 100 |
| 0 0 5 | 2.885 | 33 |
| 1 1 3 | 2.507 | 67 |
| 0 2 0 | 1.775 | 24 |
| 2 0 6 | 1.770 | 24 |
| 2 2 1 | 1.513 | 33 |
| 3 1 -6 | 1.510 | 19 |
| 2 0 -9 | 1.507 | 5 |
| 4 0 2 | 1.449 | 12 |
| 0 0 10 | 1.443 | 4 |

Cell and atoms:
Lattice parameters (Å, degrees): 6.1475 3.5517 14.5679 90.00 97.97 90.00
Space group C2/m (No. 12)
Unique sites:
Pm: 0.0000 0.0000 0.0000
Ho: 0.0992 0.5000 0.7967
Ho: 0.1998 0.0000 0.5991



[3]
Structure and theoretical PXRD pattern of Pm5Ho (the PBE geometry in Alexandria; Cu Kα).
Intensities are scaled so that the largest is 100.

Principal peaks in the range 2θ = 5–70°, in order of rising 2θ:
| h k l | d (Å) | Rel. int. |
| --- | --- | --- |
| 1 3 0 | 2.963 | 100 |
| 2 0 0 | 2.566 | 51 |
| 2 3 2 | 1.814 | 36 |
| 3 3 0 | 1.548 | 29 |
| 1 6 2 | 1.546 | 14 |
| 2 6 0 | 1.481 | 12 |

Cell and atoms:
Lattice parameters (Å, degrees): 5.1366 10.8731 7.2575 90.00 90.00 90.00
Space group Pmmn (No. 59, origin choice 2)
Unique sites:
Pm: 0.2500 0.0831 0.1242
Pm: 0.2500 0.0844 0.6260
Pm: 0.2500 0.7500 0.6259
Ho: 0.2500 0.7500 0.1237



[4]
Structure and theoretical PXRD pattern of Pm3Ho5 (the PBE geometry in Alexandria; Cu Kα).
Intensities are scaled so that the largest is 100.

Principal peaks in the range 2θ = 5–70°, in order of rising 2θ:
| h k l | d (Å) | Rel. int. |
| --- | --- | --- |
| 0 0 1 | 12.605 | 1 |
| 0 0 4 | 3.150 | 24 |
| 0 2 0 | 2.850 | 24 |
| 1 1 2 | 2.757 | 100 |
| 0 2 4 | 2.113 | 16 |
| 2 0 0 | 1.818 | 20 |
| 1 3 2 | 1.627 | 21 |
| 2 0 4 | 1.575 | 3 |
| 2 2 0 | 1.533 | 23 |
| 0 1 8 | 1.518 | 16 |
| 0 4 0 | 1.425 | 3 |
| 2 2 4 | 1.378 | 4 |

Cell and atoms:
Lattice parameters (Å, degrees): 3.6350 5.7003 12.6048 90.00 90.00 90.00
Space group Pmm2 (No. 25)
Unique sites:
Pm: 0.0000 0.0000 0.0000
Pm: 0.0000 0.5000 0.1738
Pm: 0.5000 0.0000 0.2554
Ho: 0.0000 0.0000 0.5066
Ho: 0.0000 0.5000 0.6693
Ho: 0.5000 0.0000 0.7511
Ho: 0.5000 0.5000 0.4247
Ho: 0.5000 0.5000 0.9152



[5]
Structure and theoretical PXRD pattern of Pm2Ho13 (the PBE geometry in Alexandria; Cu Kα).
Intensities are scaled so that the largest is 100.

Principal peaks in the range 2θ = 5–70°, in order of rising 2θ:
| h k l | d (Å) | Rel. int. |
| --- | --- | --- |
| 1 1 -2 | 2.941 | 20 |
| 1 3 1 | 2.787 | 100 |
| 2 1 2 | 2.781 | 26 |
| 2 2 -1 | 2.391 | 8 |
| 1 0 4 | 2.021 | 11 |
| -1 4 2 | 1.925 | 10 |
| -2 1 4 | 1.758 | 7 |
| 0 3 -3 | 1.666 | 4 |
| 0 5 0 | 1.610 | 4 |
| 3 4 3 | 1.607 | 19 |
| 1 5 4 | 1.583 | 11 |
| 4 0 -2 | 1.487 | 19 |

Cell and atoms:
Lattice parameters (Å, degrees): 6.5828 8.6945 8.9600 69.11 83.98 80.70
Space group P-1 (No. 2)
Unique sites:
Pm: 0.1989 0.3053 0.3967
Ho: 0.0000 0.5000 0.0000
Ho: 0.0958 0.9246 0.6931
Ho: 0.1347 0.6972 0.2651
Ho: 0.2377 0.0755 0.9755
Ho: 0.3344 0.4984 0.6687
Ho: 0.4299 0.9222 0.3591
Ho: 0.4665 0.6970 0.9347



[6]
Structure and theoretical PXRD pattern of Pm4Ho5 (the PBE geometry in Alexandria; Cu Kα).
Intensities are scaled so that the largest is 100.

Principal peaks in the range 2θ = 5–70°, in order of rising 2θ:
| h k l | d (Å) | Rel. int. |
| --- | --- | --- |
| 3 0 1 | 2.922 | 100 |
| 3 3 0 | 2.533 | 34 |
| 0 0 2 | 2.525 | 17 |
| 6 0 0 | 1.789 | 36 |
| 6 3 1 | 1.527 | 29 |
| 3 0 3 | 1.523 | 14 |
| 6 0 2 | 1.461 | 12 |

Cell and atoms:
Lattice parameters (Å, degrees): 10.7480 10.7480 5.0490 90.00 90.00 90.00
Space group I4/mmm (No. 139)
Unique sites:
Pm: 0.1666 0.1666 0.0000
Ho: 0.0000 0.0000 0.5000
Ho: 0.0000 0.3346 0.5000



[7]
Structure and theoretical PXRD pattern of Pm13Ho2 (the PBE geometry in Alexandria; Cu Kα).
Intensities are scaled so that the largest is 100.

Principal peaks in the range 2θ = 5–70°, in order of rising 2θ:
| h k l | d (Å) | Rel. int. |
| --- | --- | --- |
| 1 2 2 | 3.531 | 4 |
| -2 1 1 | 2.878 | 100 |
| 2 3 0 | 2.230 | 6 |
| -1 2 4 | 2.035 | 17 |
| 2 4 4 | 1.765 | 4 |
| 0 0 5 | 1.662 | 6 |
| 3 -3 0 | 1.661 | 23 |
| 0 5 5 | 1.505 | 5 |
| 4 3 3 | 1.504 | 11 |
| 4 2 -1 | 1.502 | 1 |
| -4 2 2 | 1.438 | 4 |
| 2 -4 2 | 1.438 | 2 |

Cell and atoms:
Lattice parameters (Å, degrees): 6.7450 9.1100 9.1123 66.30 82.23 82.17
Space group P-1 (No. 2)
Unique sites:
Pm: 0.0000 0.0000 0.0000
Pm: 0.1021 0.4350 0.7662
Pm: 0.1949 0.1949 0.2071
Pm: 0.2985 0.6287 0.9727
Pm: 0.3046 0.9615 0.6380
Pm: 0.3965 0.3979 0.4048
Pm: 0.4988 0.1683 0.8346
Ho: 0.0983 0.7682 0.4311



[8]
Structure and theoretical PXRD pattern of Pm3Ho8 (the PBE geometry in Alexandria; Cu Kα).
Intensities are scaled so that the largest is 100.

Principal peaks in the range 2θ = 5–70°, in order of rising 2θ:
| h k l | d (Å) | Rel. int. |
| --- | --- | --- |
| 2 1 1 | 3.221 | 100 |
| 2 -1 3 | 3.192 | 23 |
| 1 2 2 | 2.932 | 65 |
| 1 0 4 | 2.900 | 51 |
| 1 3 1 | 2.402 | 17 |
| 0 1 5 | 2.367 | 14 |
| 3 1 2 | 2.275 | 17 |
| 4 -2 3 | 2.164 | 69 |
| 1 4 0 | 1.926 | 20 |
| 2 2 6 | 1.596 | 25 |
| 0 5 4 | 1.531 | 15 |
| 6 0 0 | 1.472 | 15 |

Cell and atoms:
Lattice parameters (Å, degrees): 10.1963 10.1963 12.2831 90.00 90.00 120.00
Space group R-3 (No. 148, hexagonal axes)
Unique sites:
Pm: 0.0000 0.5000 0.0000
Ho: 0.0000 0.0000 0.3511
Ho: 0.0029 0.1964 0.1116



[9]
Structure and theoretical PXRD pattern of Pm7Ho (the PBE geometry in Alexandria; Cu Kα).
Intensities are scaled so that the largest is 100.

Principal peaks in the range 2θ = 5–70°, in order of rising 2θ:
| h k l | d (Å) | Rel. int. |
| --- | --- | --- |
| 2 2 2 | 2.964 | 100 |
| 4 0 0 | 2.567 | 51 |
| 4 4 0 | 1.815 | 36 |
| 6 2 2 | 1.548 | 43 |
| 4 4 4 | 1.482 | 12 |

Cell and atoms:
Lattice parameters (Å, degrees): 10.2684 10.2684 10.2684 90.00 90.00 90.00
Space group Fm-3m (No. 225)
Unique sites:
Pm: 0.0000 0.0000 0.0000
Pm: 0.0000 0.2500 0.2500
Ho: 0.0000 0.0000 0.5000



[10]
Structure and theoretical PXRD pattern of Pm8Ho3 (the PBE geometry in Alexandria; Cu Kα).
Intensities are scaled so that the largest is 100.

Principal peaks in the range 2θ = 5–70°, in order of rising 2θ:
| h k l | d (Å) | Rel. int. |
| --- | --- | --- |
| 1 0 -2 | 3.227 | 60 |
| 2 0 0 | 3.045 | 44 |
| 2 0 1 | 3.018 | 77 |
| 1 2 2 | 3.008 | 89 |
| 0 2 -1 | 2.960 | 100 |
| 0 1 3 | 2.791 | 56 |
| 1 0 3 | 2.709 | 84 |
| -1 2 1 | 2.691 | 91 |
| 2 2 0 | 2.532 | 65 |
| 1 0 -3 | 2.404 | 28 |
| 2 -2 2 | 1.852 | 34 |
| 1 4 1 | 1.788 | 31 |

Cell and atoms:
Lattice parameters (Å, degrees): 6.3450 7.1674 8.7517 76.22 78.20 76.40
Space group P-1 (No. 2)
Unique sites:
Pm: 0.0750 0.3731 0.3568
Pm: 0.0853 0.9121 0.2508
Pm: 0.3591 0.1761 0.8540
Pm: 0.4049 0.7063 0.8684
Ho: 0.0000 0.5000 0.0000
Ho: 0.5000 0.0000 0.5000
Ho: 0.5000 0.5000 0.5000



[11]
Structure and theoretical PXRD pattern of Pm3Ho13 (the PBE geometry in Alexandria; Cu Kα).
Intensities are scaled so that the largest is 100.

Principal peaks in the range 2θ = 5–70°, in order of rising 2θ:
| h k l | d (Å) | Rel. int. |
| --- | --- | --- |
| 2 2 2 | 2.895 | 100 |
| 4 0 0 | 2.507 | 51 |
| 4 4 0 | 1.773 | 36 |
| 2 6 2 | 1.513 | 29 |
| 6 2 2 | 1.511 | 14 |
| 4 4 4 | 1.448 | 12 |

Cell and atoms:
Lattice parameters (Å, degrees): 10.0168 10.0296 10.0421 90.00 90.00 90.00
Space group Amm2 (No. 38)
Unique sites:
Pm: 0.0000 0.0000 0.0000
Pm: 0.2508 0.0000 0.2517
Ho: 0.0000 0.0000 0.5024
Ho: 0.0000 0.2485 0.7511
Ho: 0.2512 0.0000 0.7504
Ho: 0.2510 0.2494 0.5011
Ho: 0.5000 0.0000 0.9997
Ho: 0.5000 0.0000 0.5028
Ho: 0.5000 0.2488 0.7513



[12]
Structure and theoretical PXRD pattern of Pm5PrHo (the PBE geometry in Alexandria; Cu Kα).
Intensities are scaled so that the largest is 100.

Principal peaks in the range 2θ = 5–70°, in order of rising 2θ:
| h k l | d (Å) | Rel. int. |
| --- | --- | --- |
| 0 2 0 | 5.921 | 94 |
| 1 0 1 | 4.956 | 55 |
| 2 0 0 | 4.022 | 59 |
| 1 2 1 | 3.801 | 55 |
| 2 1 1 | 3.258 | 62 |
| 0 4 0 | 2.961 | 93 |
| 1 1 2 | 2.844 | 100 |
| 2 3 1 | 2.571 | 35 |
| 3 0 1 | 2.467 | 53 |
| 1 3 2 | 2.353 | 62 |
| 2 2 2 | 2.286 | 60 |
| 3 4 1 | 1.895 | 48 |

Cell and atoms:
Lattice parameters (Å, degrees): 8.0434 11.8428 6.2927 90.00 90.00 90.00
Space group Imm2 (No. 44)
Unique sites:
Pm: 0.0000 0.0000 0.0000
Pm: 0.0000 0.2483 0.2644
Pm: 0.1787 0.5000 0.7654
Pr: 0.0000 0.0000 0.5337
Ho: 0.0000 0.5000 0.2662